Diffraction record for BiTe2As2. The powder X-ray diffraction pattern is theoretical, not measured: it uses a DFT-relaxed cell (PBE, Alexandria) and a wavelength of 1.5418 Å.

Structure:
a b c (Å): 5.9268 5.9268 5.9268
angles (deg): 122.98 122.98 84.91
Fractional positions:
Bi 0.0000 0.0000 0.0000
Te 0.2500 0.7500 0.5000
Te 0.7500 0.2500 0.5000
As 0.3444 0.3444 0.0000
As 0.6556 0.6556 0.0000

Peak list (10 most intense, 10 to 90 degrees two-theta, in order of rising 2θ)
two_theta, I/Imax
18.68, 26
30.28, 94
31.63, 100
34.61, 54
45.34, 37
47.59, 45
55.49, 35
68.52, 21
75.08, 17
86.03, 23